(1)
# LiTa2S4
Calculated powder XRD pattern, Cu Kα. Input: the GGA-PBE geometry in the Materials Project.

Cell and atoms:
a b c (Å): 3.360 3.360 12.893
angles (deg): 90.00 90.00 120.00
Atoms (fractional coordinates):
Li 0.000 0.000 0.000
Ta 0.000 0.000 0.253
Ta 0.000 0.000 0.747
S 0.333 0.667 0.629
S 0.333 0.667 0.870
S 0.667 0.333 0.130
S 0.667 0.333 0.371

Principal peaks in the range 15° ≤ 2θ ≤ 90°, by angle:
- 27.67 deg, rel. 12
- 30.73 deg, rel. 46
- 33.80 deg, rel. 100
- 41.82 deg, rel. 83
- 52.97 deg, rel. 30
- 54.64 deg, rel. 25
- 56.62 deg, rel. 25
- 65.81 deg, rel. 15
- 71.10 deg, rel. 17
- 83.04 deg, rel. 15

(2)
# BaGe6
Calculated powder XRD pattern, Cu Kα. Input: the GGA-PBE geometry in the Materials Project.

Cell and atoms:
a b c (Å): 5.982 5.982 12.480
angles (deg): 90.00 90.00 132.00
Atoms (fractional coordinates):
Ba 0.231 0.769 0.750
Ba 0.769 0.231 0.250
Ge 0.055 0.945 0.146
Ge 0.055 0.945 0.354
Ge 0.251 0.749 0.036
Ge 0.251 0.749 0.464
Ge 0.476 0.524 0.101
Ge 0.476 0.524 0.399
Ge 0.524 0.476 0.601
Ge 0.524 0.476 0.899
Ge 0.749 0.251 0.536
Ge 0.749 0.251 0.964
Ge 0.945 0.055 0.646
Ge 0.945 0.055 0.854

Principal peaks in the range 15° ≤ 2θ ≤ 90°, by angle:
- 24.59 deg, rel. 21
- 29.40 deg, rel. 100
- 31.50 deg, rel. 62
- 32.78 deg, rel. 47
- 33.06 deg, rel. 99
- 36.94 deg, rel. 65
- 50.21 deg, rel. 28
- 50.41 deg, rel. 59
- 50.77 deg, rel. 44
- 55.53 deg, rel. 19

(3)
# Na3LiCuPCO7
Calculated powder XRD pattern, Cu Kα. Input: the GGA-PBE geometry in the Materials Project.

Cell and atoms:
a b c (Å): 5.159 6.436 9.879
angles (deg): 90.00 90.44 90.00
Atoms (fractional coordinates):
Na 0.229 0.250 0.089
Na 0.243 0.017 0.760
Na 0.243 0.483 0.760
Na 0.757 0.517 0.240
Na 0.757 0.983 0.240
Na 0.771 0.750 0.911
Li 0.000 0.000 0.500
Li 0.000 0.500 0.500
Cu 0.280 0.750 0.335
Cu 0.720 0.250 0.665
P 0.344 0.250 0.408
P 0.656 0.750 0.592
C 0.268 0.750 0.046
C 0.732 0.250 0.954
O 0.049 0.750 0.111
O 0.222 0.250 0.553
O 0.229 0.056 0.331
O 0.229 0.444 0.331
O 0.266 0.750 0.914
O 0.358 0.750 0.592
O 0.490 0.750 0.111
O 0.510 0.250 0.889
O 0.642 0.250 0.408
O 0.734 0.250 0.086
O 0.771 0.556 0.669
O 0.771 0.944 0.669
O 0.778 0.750 0.447
O 0.951 0.250 0.889

Principal peaks in the range 15° ≤ 2θ ≤ 90°, by angle:
- 16.44 deg, rel. 37
- 19.35 deg, rel. 54
- 24.86 deg, rel. 34
- 27.72 deg, rel. 86
- 33.23 deg, rel. 40
- 34.05 deg, rel. 100
- 34.78 deg, rel. 83
- 35.32 deg, rel. 39
- 40.37 deg, rel. 34
- 46.34 deg, rel. 45

(4)
# SiO2
Calculated powder XRD pattern, Cu Kα. Input: the GGA-PBE geometry in the Materials Project.

Cell and atoms:
a b c (Å): 7.486 7.486 8.937
angles (deg): 126.32 126.32 39.30
Atoms (fractional coordinates):
Si 0.021 0.979 0.750
Si 0.067 0.599 0.841
Si 0.401 0.933 0.659
Si 0.599 0.067 0.341
Si 0.933 0.401 0.159
Si 0.979 0.021 0.250
O 0.069 0.734 0.066
O 0.138 0.719 0.798
O 0.246 0.321 0.300
O 0.266 0.931 0.434
O 0.281 0.862 0.702
O 0.321 0.246 0.800
O 0.679 0.754 0.200
O 0.719 0.138 0.298
O 0.734 0.069 0.566
O 0.754 0.679 0.700
O 0.862 0.281 0.202
O 0.931 0.266 0.934

Principal peaks in the range 15° ≤ 2θ ≤ 90°, by angle:
- 19.40 deg, rel. 37
- 19.87 deg, rel. 15
- 25.64 deg, rel. 30
- 25.80 deg, rel. 45
- 26.01 deg, rel. 100
- 27.91 deg, rel. 21
- 30.22 deg, rel. 8
- 48.49 deg, rel. 9
- 48.77 deg, rel. 8
- 49.14 deg, rel. 10

(5)
# Li3Sb17S27
Calculated powder XRD pattern, Cu Kα. Input: the GGA-PBE geometry in the Materials Project.

Cell and atoms:
a b c (Å): 8.840 8.849 15.493
angles (deg): 103.86 95.38 96.32
Atoms (fractional coordinates):
Li 0.000 0.000 0.000
Li 0.332 0.338 0.004
Li 0.666 0.666 0.000
Sb 0.034 0.556 0.884
Sb 0.051 0.173 0.306
Sb 0.123 0.831 0.427
Sb 0.217 0.499 0.566
Sb 0.291 0.762 0.116
Sb 0.299 0.163 0.686
Sb 0.370 0.891 0.886
Sb 0.448 0.161 0.420
Sb 0.544 0.827 0.566
Sb 0.617 0.120 0.109
Sb 0.632 0.487 0.681
Sb 0.699 0.822 0.306
Sb 0.701 0.227 0.885
Sb 0.787 0.500 0.419
Sb 0.875 0.170 0.568
Sb 0.960 0.825 0.685
Sb 0.979 0.449 0.116
S 0.002 0.138 0.720
S 0.006 0.297 0.961
S 0.056 0.846 0.851
S 0.063 0.520 0.378
S 0.158 0.171 0.500
S 0.261 0.817 0.623
S 0.269 0.497 0.152
S 0.321 0.047 0.033
S 0.321 0.182 0.273
S 0.333 0.471 0.721
S 0.344 0.635 0.961
S 0.385 0.183 0.849
S 0.400 0.856 0.379
S 0.489 0.515 0.509
S 0.597 0.160 0.629
S 0.603 0.816 0.146
S 0.641 0.366 0.034
S 0.668 0.530 0.273
S 0.673 0.809 0.722
S 0.677 0.963 0.965
S 0.723 0.511 0.852
S 0.725 0.190 0.372
S 0.829 0.839 0.502
S 0.921 0.484 0.629
S 0.947 0.160 0.146
S 0.984 0.706 0.033
S 0.993 0.859 0.275

Principal peaks in the range 15° ≤ 2θ ≤ 90°, by angle:
- 15.30 deg, rel. 39
- 18.90 deg, rel. 49
- 23.51 deg, rel. 45
- 26.19 deg, rel. 100
- 26.26 deg, rel. 78
- 30.58 deg, rel. 46
- 31.54 deg, rel. 64
- 31.63 deg, rel. 94
- 43.89 deg, rel. 40
- 46.16 deg, rel. 39

(6)
# Ta6V3Ni3C2
Calculated powder XRD pattern, Cu Kα. Input: the GGA-PBE geometry in the Materials Project.

Cell and atoms:
a b c (Å): 8.151 8.151 8.151
angles (deg): 120.16 119.95 89.91
Atoms (fractional coordinates):
Ta 0.000 0.000 0.000
Ta 0.246 0.125 0.501
Ta 0.246 0.744 0.121
Ta 0.249 0.749 0.500
Ta 0.374 0.374 0.378
Ta 0.374 0.995 0.999
Ta 0.376 0.376 0.000
Ta 0.623 0.125 0.879
Ta 0.623 0.744 0.499
Ta 0.628 0.128 0.500
Ta 0.996 0.374 0.001
Ta 0.996 0.995 0.622
V 0.017 0.355 0.662
V 0.316 0.566 0.749
V 0.693 0.355 0.338
V 0.810 0.052 0.242
V 0.810 0.569 0.758
V 0.817 0.566 0.251
Ni 0.015 0.359 0.345
Ni 0.015 0.670 0.655
Ni 0.605 0.446 0.840
Ni 0.605 0.765 0.160
Ni 0.606 0.763 0.843
Ni 0.920 0.763 0.157
C 0.309 0.059 0.750
C 0.309 0.060 0.249
C 0.309 0.559 0.250
C 0.811 0.060 0.751

Principal peaks in the range 15° ≤ 2θ ≤ 90°, by angle:
- 31.04 deg, rel. 23
- 33.89 deg, rel. 25
- 38.26 deg, rel. 58
- 40.68 deg, rel. 100
- 44.45 deg, rel. 16
- 57.05 deg, rel. 13
- 66.35 deg, rel. 8
- 69.13 deg, rel. 37
- 69.29 deg, rel. 14
- 83.39 deg, rel. 11

(7)
# BaP2O5
Calculated powder XRD pattern, Cu Kα. Input: the GGA-PBE geometry in the Materials Project.

Cell and atoms:
a b c (Å): 11.758 4.921 11.725
angles (deg): 78.28 24.19 77.53
Atoms (fractional coordinates):
Ba 0.000 0.000 0.000
Ba 0.250 0.250 0.250
P 0.405 0.537 0.464
P 0.537 0.405 0.593
P 0.657 0.786 0.713
P 0.786 0.657 0.845
O 0.100 0.627 0.764
O 0.229 0.462 0.898
O 0.352 0.839 0.021
O 0.462 0.229 0.411
O 0.486 0.741 0.150
O 0.599 0.599 0.401
O 0.627 0.100 0.509
O 0.741 0.486 0.623
O 0.839 0.352 0.788
O 0.849 0.849 0.651

Principal peaks in the range 15° ≤ 2θ ≤ 90°, by angle:
- 15.81 deg, rel. 100
- 21.63 deg, rel. 40
- 26.44 deg, rel. 90
- 26.90 deg, rel. 74
- 27.23 deg, rel. 71
- 33.38 deg, rel. 61
- 35.56 deg, rel. 27
- 36.54 deg, rel. 56
- 40.04 deg, rel. 35
- 40.58 deg, rel. 34

(8)
# Li2Mg
Calculated powder XRD pattern, Cu Kα. Input: the GGA-PBE geometry in the Materials Project.

Cell and atoms:
a b c (Å): 5.904 5.904 5.904
angles (deg): 53.55 53.55 53.55
Atoms (fractional coordinates):
Li 0.000 0.000 0.000
Li 0.167 0.833 0.500
Li 0.500 0.167 0.833
Li 0.833 0.500 0.167
Mg 0.333 0.333 0.333
Mg 0.667 0.667 0.667

Principal peaks in the range 15° ≤ 2θ ≤ 90°, by angle:
- 17.59 deg, rel. 50
- 20.15 deg, rel. 27
- 22.60 deg, rel. 20
- 33.70 deg, rel. 43
- 35.61 deg, rel. 25
- 38.26 deg, rel. 100
- 49.83 deg, rel. 29
- 60.28 deg, rel. 15
- 65.72 deg, rel. 19
- 72.01 deg, rel. 17

(9)
# EuHCl
Calculated powder XRD pattern, Cu Kα. Input: the GGA-PBE geometry in the Materials Project.

Cell and atoms:
a b c (Å): 4.020 4.020 6.984
angles (deg): 90.00 90.00 90.00
Atoms (fractional coordinates):
Eu 0.250 0.250 0.199
Eu 0.750 0.750 0.801
H 0.250 0.750 0.000
H 0.750 0.250 0.000
Cl 0.250 0.250 0.650
Cl 0.750 0.750 0.350

Principal peaks in the range 15° ≤ 2θ ≤ 90°, by angle:
- 25.55 deg, rel. 100
- 31.47 deg, rel. 60
- 34.01 deg, rel. 45
- 40.94 deg, rel. 30
- 45.10 deg, rel. 22
- 52.55 deg, rel. 36
- 57.55 deg, rel. 17
- 57.67 deg, rel. 18
- 65.65 deg, rel. 15
- 75.95 deg, rel. 21

(10)
# NaHSO4
Calculated powder XRD pattern, Cu Kα. Input: the GGA-PBE geometry in the Materials Project.

Cell and atoms:
a b c (Å): 5.188 7.603 9.472
angles (deg): 90.00 112.36 90.00
Atoms (fractional coordinates):
Na 0.013 0.009 0.299
Na 0.013 0.491 0.799
Na 0.987 0.509 0.201
Na 0.987 0.991 0.701
H 0.381 0.539 0.627
H 0.381 0.961 0.127
H 0.619 0.039 0.873
H 0.619 0.461 0.373
S 0.404 0.226 0.064
S 0.404 0.274 0.564
S 0.596 0.726 0.436
S 0.596 0.774 0.936
O 0.236 0.120 0.562
O 0.236 0.380 0.062
O 0.278 0.071 0.134
O 0.278 0.429 0.634
O 0.301 0.743 0.334
O 0.301 0.757 0.834
O 0.367 0.170 0.908
O 0.367 0.330 0.408
O 0.633 0.670 0.592
O 0.633 0.830 0.092
O 0.699 0.243 0.166
O 0.699 0.257 0.666
O 0.722 0.571 0.366
O 0.722 0.929 0.866
O 0.764 0.620 0.938
O 0.764 0.880 0.438

Principal peaks in the range 15° ≤ 2θ ≤ 90°, by angle:
- 18.49 deg, rel. 26
- 21.90 deg, rel. 60
- 23.43 deg, rel. 85
- 24.65 deg, rel. 100
- 27.03 deg, rel. 21
- 29.99 deg, rel. 83
- 31.15 deg, rel. 30
- 32.50 deg, rel. 29
- 38.13 deg, rel. 22
- 40.28 deg, rel. 16